Calculated powder XRD pattern
Compound: KMn2Mo2O10
Radiation: a wavelength of 1.5418 Å
Structure: a crystal structure in Alexandria, relaxed with GGA+U
Lines closer than 0.1° are merged.

Largest 10 diffraction maxima, in order of rising 2θ, 5° ≤ 2θ ≤ 70°:
2θ = 11.34°, intensity 62
2θ = 17.30°, intensity 100
2θ = 18.21°, intensity 47
2θ = 22.54°, intensity 79
2θ = 25.04°, intensity 83
2θ = 26.61°, intensity 53
2θ = 30.10°, intensity 62
2θ = 32.07°, intensity 35
2θ = 34.02°, intensity 47
2θ = 49.59°, intensity 45

Crystal structure
```
data_KMn2Mo2O10
_cell_length_a 5.9519
_cell_length_b 5.9519
_cell_length_c 8.6895
_cell_angle_alpha 112.06
_cell_angle_beta 112.06
_cell_angle_gamma 62.70
_symmetry_space_group_name_H-M 'P 1'
_symmetry_Int_Tables_number 1
loop_
_symmetry_equiv_pos_as_xyz
'x,y,z'
loop_
_atom_site_label
_atom_site_type_symbol
_atom_site_fract_x
_atom_site_fract_y
_atom_site_fract_z
K1 K 0.0000 0.0000 0.0000
Mn1 Mn 0.0000 0.5000 0.5000
Mn2 Mn 0.5000 0.0000 0.5000
Mo1 Mo 0.4375 0.4375 0.2500
Mo2 Mo 0.5625 0.5625 0.7500
O1 O 0.1927 0.1927 0.5731
O2 O 0.2102 0.6844 0.7132
O3 O 0.3095 0.3095 0.0360
O4 O 0.3156 0.7898 0.2868
O5 O 0.3376 0.3376 0.3832
O6 O 0.6624 0.6624 0.6168
O7 O 0.6844 0.2102 0.7132
O8 O 0.6905 0.6905 0.9640
O9 O 0.7898 0.3156 0.2868
O10 O 0.8073 0.8073 0.4269
```